[1]
# Li4Nb2Fe3O10
Simulated powder diffractogram, copper Kα. Input: DFT lattice parameters and positions (PBE+U).

Top 8 peaks for 2θ from 15° to 90°, sorted by position:
2θ (°), I/Imax
17.35, 67
17.73, 100
21.35, 34
25.56, 51
35.90, 32
40.74, 51
41.23, 49
41.90, 58

```
19
Lattice="5.3394 0.0000 0.0000 -1.1217 5.3175 0.0000 -2.6207 -2.1197 7.3735" Properties=species:S:1:pos:R:3 pbc="T T T"
Li 0.2465 1.0665 0.8493
Li 0.1295 4.1272 1.9388
Li 1.4676 -0.9294 5.4347
Li 1.3506 2.1313 6.5242
Nb -1.2428 0.4579 5.9614
Nb 2.8399 2.7399 1.4121
Fe -1.9997 3.0799 4.5517
Fe 0.7985 1.5989 3.6867
Fe 3.5968 0.1179 2.8218
O -2.0034 -1.3175 6.1821
O -0.9497 2.0788 2.3797
O -0.2147 -0.2424 4.2742
O 0.9776 3.1345 0.4164
O -0.2877 2.2974 5.3377
O 1.8847 0.9005 2.0358
O 0.6195 0.0633 6.9571
O 1.8118 3.4402 3.0993
O 2.5468 1.1190 4.9938
O 3.6005 4.5153 1.1914
```

---

[2]
# Li3NbFe3O8
Simulated powder diffractogram, copper Kα. Input: DFT lattice parameters and positions (PBE+U).

Top 8 peaks for 2θ from 15° to 90°, sorted by position:
2θ (°), I/Imax
17.81, 100
34.29, 29
34.68, 14
36.02, 19
41.61, 42
42.29, 20
60.31, 12
60.77, 12

```
15
Lattice="5.2561 -3.0702 0.0000 5.2561 3.0702 0.0000 -3.5717 0.0000 4.9908" Properties=species:S:1:pos:R:3 pbc="T T T"
Li 0.0000 0.0000 0.0000
Li 0.8422 1.5351 2.4954
Li 0.8422 -1.5351 2.4954
Nb -1.7858 0.0000 2.4954
Fe 2.6280 1.5351 0.0000
Fe 2.6280 -1.5351 0.0000
Fe 3.4702 0.0000 2.4954
O 4.2360 1.6599 1.2777
O -0.1782 0.0000 3.7283
O 2.7045 1.6599 3.7132
O 1.8784 0.0000 1.1328
O 5.0620 0.0000 3.8580
O 4.2360 -1.6599 1.2777
O 7.1187 0.0000 1.2625
O 2.7045 -1.6599 3.7132
```

---

[3]
# LiNbFeO4
Simulated powder diffractogram, copper Kα. Input: DFT lattice parameters and positions (PBE+U).

Top 8 peaks for 2θ from 15° to 90°, sorted by position:
2θ (°), I/Imax
17.29, 33
17.63, 100
33.58, 37
33.71, 13
35.70, 12
40.74, 22
41.19, 40
59.32, 25

```
28
Lattice="6.1107 0.0000 0.0000 0.0075 6.2916 0.0000 0.0028 0.0001 8.8595" Properties=species:S:1:pos:R:3 pbc="T T T"
Li 1.5097 0.0628 3.5004
Li 1.5299 3.2085 0.9285
Li 4.5912 3.0833 7.9310
Li 4.6114 6.2290 5.3591
Nb 1.5208 4.4884 6.6298
Nb 1.5611 1.3425 6.6597
Nb 4.5600 4.9492 2.1998
Nb 4.6003 1.8034 2.2296
Fe 0.0000 0.0000 0.0000
Fe 0.0052 3.1459 4.4297
Fe 3.0554 0.0000 0.0000
Fe 3.0605 3.1459 4.4297
O 0.1412 3.1556 6.6819
O 0.1623 0.0081 6.6055
O 1.5315 4.7368 4.7059
O 1.5345 1.5901 8.5829
O 1.5298 1.7989 4.6828
O 1.5376 4.9442 8.6055
O 2.9173 3.1509 6.6817
O 2.9385 0.0061 6.6086
O 3.1825 6.2856 2.2509
O 3.2037 3.1409 2.1777
O 4.5834 1.3476 0.2540
O 4.5913 4.4929 4.1766
O 4.5865 4.7017 0.2765
O 4.5895 1.5550 4.1536
O 5.9588 6.2837 2.2540
O 5.9798 3.1361 2.1776
```

---

[4]
# Li3NbFe3O8
Simulated powder diffractogram, copper Kα. Input: DFT lattice parameters and positions (PBE+U).

Top 8 peaks for 2θ from 15° to 90°, sorted by position:
2θ (°), I/Imax
17.88, 100
34.24, 15
34.58, 14
34.91, 15
41.34, 22
42.09, 21
42.63, 20
60.47, 12

```
15
Lattice="6.0179 0.0000 0.0000 -0.0738 6.0525 0.0000 -2.9605 -3.0228 4.3684" Properties=species:S:1:pos:R:3 pbc="T T T"
Li 0.0000 0.0000 0.0000
Li -1.4803 -1.5114 2.1842
Li -0.0369 3.0262 0.0000
Nb 1.4918 1.5148 2.1842
Fe 3.0090 0.0000 0.0000
Fe 1.5287 -1.5114 2.1842
Fe 2.9721 3.0262 0.0000
O 1.4942 1.4404 0.1317
O 0.1580 -0.0019 2.1657
O 0.0814 2.9909 2.2368
O 1.5945 4.5665 0.1879
O 1.3891 -1.5368 4.1806
O 2.9022 0.0388 2.1317
O 2.8256 3.0316 2.2027
O 1.4894 1.5892 4.2368
```

---

[5]
# Li4Nb3Fe5O16
Simulated powder diffractogram, copper Kα. Input: DFT lattice parameters and positions (PBE+U).

Top 8 peaks for 2θ from 15° to 90°, sorted by position:
2θ (°), I/Imax
18.02, 100
18.97, 73
19.07, 37
34.60, 40
35.11, 74
44.05, 34
58.57, 28
60.47, 30

```
28
Lattice="5.3089 -3.0524 0.0000 5.3089 3.0524 0.0000 -0.0834 0.0000 9.8462" Properties=species:S:1:pos:R:3 pbc="T T T"
Li 0.0000 0.0000 0.0000
Li 0.0339 0.0000 5.0219
Li 3.5864 0.0000 4.0196
Li 7.1075 0.0000 8.7731
Nb 1.9060 0.0000 7.1487
Nb 6.3133 1.5105 2.2021
Nb 6.3133 -1.5105 2.2021
Fe 4.5071 1.4765 7.1028
Fe 3.7150 0.0000 9.7956
Fe 4.5071 -1.4765 7.1028
Fe 7.2754 0.0000 5.0312
Fe 8.9182 0.0000 2.2364
O 0.0931 0.0000 8.0410
O 0.2136 0.0000 3.2278
O 2.7805 1.3596 8.2769
O 1.8311 0.0000 1.1143
O 4.6717 1.5779 1.1117
O 3.5770 0.0000 6.0009
O 6.3125 1.5673 5.9635
O 2.7805 -1.3596 8.2769
O 5.2056 0.0000 8.2250
O 7.8617 1.3524 3.4766
O 5.5554 0.0000 3.3374
O 7.0647 0.0000 1.0540
O 4.6717 -1.5779 1.1117
O 8.9914 0.0000 5.9906
O 6.3125 -1.5673 5.9635
O 7.8617 -1.3524 3.4766
```

---

[6]
# Li3NbFe4O8
Simulated powder diffractogram, copper Kα. Input: DFT lattice parameters and positions (PBE+U).

Top 8 peaks for 2θ from 15° to 90°, sorted by position:
2θ (°), I/Imax
17.67, 40
17.75, 88
33.78, 35
35.79, 31
40.91, 100
42.82, 44
59.24, 29
60.49, 27

```
16
Lattice="5.2272 -3.1195 0.0000 5.2272 3.1195 0.0000 -3.6771 0.0000 5.0422" Properties=species:S:1:pos:R:3 pbc="T T T"
Li 0.0000 0.0000 0.0000
Li 0.7750 1.5597 2.5211
Li 0.7750 -1.5597 2.5211
Nb 3.3886 0.0000 2.5211
Fe -1.8386 0.0000 2.5211
Fe 2.6136 1.5597 0.0000
Fe 2.6136 -1.5597 0.0000
Fe 5.2272 0.0000 0.0000
O -0.2318 0.0000 3.9000
O 2.4807 1.4569 3.6632
O 1.7579 0.0000 1.3293
O 4.2965 1.4569 1.3790
O 2.4807 -1.4569 3.6632
O 5.0193 0.0000 3.7130
O 4.2965 -1.4569 1.3790
O 7.0090 0.0000 1.1422
```

---

[7]
# LiNbFeO4
Simulated powder diffractogram, copper Kα. Input: DFT lattice parameters and positions (PBE+U).

Top 8 peaks for 2θ from 15° to 90°, sorted by position:
2θ (°), I/Imax
17.45, 100
33.58, 17
33.87, 33
35.32, 19
40.69, 16
41.17, 32
54.32, 12
59.27, 20

```
14
Lattice="-3.0990 3.1028 4.4344 3.0990 -3.1028 4.4344 3.0990 3.1028 -4.4344" Properties=species:S:1:pos:R:3 pbc="T T T"
Li 0.0000 1.5514 0.9512
Li 3.0990 1.5514 3.4832
Nb 1.5495 1.5514 -2.2172
Nb 1.5495 -1.5514 2.2172
Fe 3.0990 0.0000 0.0000
Fe 0.0000 0.0000 4.4344
O 3.0990 2.9011 -2.2622
O 3.0990 -0.2017 2.2622
O 1.6769 1.5514 -0.2290
O 4.5210 1.5514 -0.2290
O -1.4221 1.5514 4.6633
O 1.4221 1.5514 4.6633
O 0.0000 3.3045 2.1722
O 0.0000 0.2017 6.6965
```

---

[8]
# LiNbFeO4
Simulated powder diffractogram, copper Kα. Input: DFT lattice parameters and positions (PBE+U).

Top 8 peaks for 2θ from 15° to 90°, sorted by position:
2θ (°), I/Imax
17.62, 64
28.87, 70
28.95, 69
29.07, 68
33.91, 100
34.13, 96
34.27, 94
54.72, 47

```
28
Lattice="4.3561 -4.3310 0.0000 4.3561 4.3310 0.0000 -0.0150 0.0000 8.7848" Properties=species:S:1:pos:R:3 pbc="T T T"
Li 1.0177 0.0000 3.2911
Li 3.3185 -2.2963 7.6861
Li 5.3786 -2.2963 1.0987
Li 7.6795 0.0000 5.4937
Nb 2.1756 1.0109 6.5861
Nb 4.3561 3.1717 0.0000
Nb 4.3486 -1.1313 4.3924
Nb 6.5216 1.0109 2.1987
Fe 3.2301 2.1338 3.2936
Fe 3.2288 -0.0982 1.0970
Fe 5.4671 2.1338 5.4912
Fe 5.4684 -0.0982 7.6878
O 3.2698 2.0843 5.4753
O 3.2803 2.0784 1.1107
O 1.1183 -0.0802 1.0624
O 1.0922 -0.1067 5.5216
O 3.2788 -0.0160 3.2742
O 5.4169 2.0784 7.6741
O 5.4273 2.0843 3.3095
O 3.2945 -0.0460 7.7020
O 5.4184 -0.0160 5.5106
O 5.4027 -0.0460 1.0828
O 3.2519 -2.2275 1.1340
O 3.2597 -2.2203 5.4563
O 5.4375 -2.2203 3.3286
O 7.5789 -0.0802 7.7224
O 5.4452 -2.2275 7.6508
O 7.6049 -0.1067 3.2632
```